This entry pairs a crystal structure of CaMg8Rh4 with its computed PXRD pattern. Radiation: CuKα. Structure: a structure optimized by DFT (GGA-PBE).
No peak broadening, texture or thermal motion is included.

Top 8 peaks for 2θ from 15° to 90°, low angle first:
index, d_spacing, intensity
2 0 0, 4.587, 100
2 2 0, 3.243, 31
2 0 2, 2.457, 74
4 0 0, 2.293, 44
2 2 2, 2.166, 63
4 2 0, 2.051, 35
4 2 2, 1.676, 32
6 2 2, 1.298, 16

Structural model:
Unit cell a=9.1731 b=9.1731 c=5.8193 alpha=90.00 beta=90.00 gamma=90.00
Space group I4/mmm (No. 139)
Unique sites:
Ca 0.0000 0.0000 0.0000 (multiplicity 2)
Mg 0.0000 0.2258 0.5000 (multiplicity 8)
Mg 0.0000 0.3262 0.0000 (multiplicity 8)
Rh 0.2500 0.2500 0.2500 (multiplicity 8)